(1)
Structure and simulated powder diffraction line list of Li3BiH8O7 (the GGA-PBE geometry in Alexandria; Cu Ka).

Top 6 peaks for 10° ≤ 2θ ≤ 90°, most intense first:
2θ/deg	d [Å]	Rel. int.	h k l
16.6	5.353	100	0 1 1
15.1	5.885	96	1 0 0
18.0	4.924	91	1 1 1
10.8	8.217	77	0 0 1
14.0	6.321	56	0 1 0
32.1	2.788	48	2 0 1

Cell and atoms:
Unit cell a=6.458 b=6.993 c=8.310 alpha=81.49 beta=85.62 gamma=65.71
Space group P-1 (No. 2)
Asymmetric unit:
Li: 0.028 0.186 0.370
Li: 0.186 0.374 0.585
Li: 0.351 0.647 0.388
Bi: 0.440 0.869 0.675
H: 0.013 0.845 0.281
H: 0.041 0.804 0.973
H: 0.153 0.983 0.109
H: 0.175 0.501 0.258
H: 0.234 0.287 0.010
H: 0.268 0.500 0.024
H: 0.302 0.528 0.753
H: 0.385 0.697 0.090
O: 0.078 0.124 0.618
O: 0.087 0.141 0.107
O: 0.174 0.399 0.354
O: 0.228 0.715 0.124
O: 0.312 0.379 0.958
O: 0.313 0.593 0.640
O: 0.452 0.867 0.417


(2)
Structure and simulated powder diffraction line list of Mg4SnBiH (the GGA-PBE geometry in Alexandria; Cu Ka).

Top 6 peaks for 10° ≤ 2θ ≤ 90°, most intense first:
2θ/deg	d [Å]	Rel. int.	h k l
20.9	4.255	100	1 1 1
26.7	3.336	97	1 3 1
40.7	2.216	54	2 0 2
37.1	2.425	52	2 4 0
37.3	2.411	51	0 4 2
23.4	3.801	43	0 4 0

Cell and atoms:
Unit cell a=6.299 b=15.203 c=6.239 alpha=90.00 beta=90.00 gamma=90.00
Space group Cmcm (No. 63)
Asymmetric unit:
Mg: 0.000 0.074 0.250
Mg: 0.000 0.407 0.250
Mg: 0.250 0.250 0.000
Sn: 0.000 0.118 0.750
Bi: 0.000 0.396 0.750
H: 0.000 0.261 0.250


(3)
Structure and simulated powder diffraction line list of Sr2Mg4Bi3H2 (the GGA-PBE geometry in Alexandria; Cu Ka).

Top 6 peaks for 10° ≤ 2θ ≤ 90°, most intense first:
2θ/deg	d [Å]	Rel. int.	h k l
34.6	2.591	100	1 1 6
19.3	4.587	72	1 0 1
27.0	3.299	68	1 1 0
31.5	2.844	48	1 0 7
21.2	4.186	46	0 0 6
38.6	2.333	45	2 0 0

Cell and atoms:
Unit cell a=4.666 b=4.666 c=25.118 alpha=90.00 beta=90.00 gamma=90.00
Space group I4/mmm (No. 139)
Asymmetric unit:
Sr: 0.000 0.000 0.192
Mg: 0.000 0.500 0.081
Bi: 0.000 0.000 0.333
Bi: 0.000 0.000 0.500
H: 0.000 0.000 0.089


(4)
Structure and simulated powder diffraction line list of NaBiHPb2 (the GGA-PBE geometry in Alexandria; Cu Ka).

Top 6 peaks for 10° ≤ 2θ ≤ 90°, most intense first:
2θ/deg	d [Å]	Rel. int.	h k l
30.8	2.900	100	1 1 1
36.1	2.490	34	2 0 0
61.6	1.505	29	3 1 1
51.2	1.784	25	2 0 2
35.1	2.557	18	0 0 2
60.3	1.534	15	1 1 3

Cell and atoms:
Unit cell a=4.981 b=4.981 c=5.113 alpha=90.00 beta=90.00 gamma=90.00
Space group P4/mmm (No. 123)
Asymmetric unit:
Na: 0.000 0.000 0.000
Bi: 0.500 0.500 0.000
H: 0.500 0.500 0.500
Pb: 0.000 0.500 0.500


(5)
Structure and simulated powder diffraction line list of Na2Bi3H2Pd5 (the GGA-PBE geometry in Alexandria; Cu Ka).

Top 6 peaks for 10° ≤ 2θ ≤ 90°, most intense first:
2θ/deg	d [Å]	Rel. int.	h k l
37.3	2.412	100	1 1 6
41.9	2.156	39	2 0 0
73.5	1.289	28	3 1 6
20.9	4.242	25	1 0 1
79.5	1.206	19	2 2 12
64.0	1.455	18	2 0 12

Cell and atoms:
Unit cell a=4.312 b=4.312 c=23.648 alpha=90.00 beta=90.00 gamma=90.00
Space group I4/mmm (No. 139)
Asymmetric unit:
Na: 0.000 0.000 0.195
Bi: 0.000 0.000 0.335
Bi: 0.000 0.000 0.500
H: 0.000 0.000 0.077
Pd: 0.000 0.000 0.000
Pd: 0.000 0.500 0.088


(6)
Structure and simulated powder diffraction line list of Na2Bi2HRh2 (the GGA-PBE geometry in Alexandria; Cu Ka).

Top 6 peaks for 10° ≤ 2θ ≤ 90°, most intense first:
2θ/deg	d [Å]	Rel. int.	h k l
37.9	2.374	100	1 1 4
21.8	4.075	77	1 0 1
11.3	7.838	62	0 0 2
35.7	2.517	43	1 0 5
42.9	2.110	40	2 0 0
75.2	1.263	27	3 1 4

Cell and atoms:
Unit cell a=4.220 b=4.220 c=15.677 alpha=90.00 beta=90.00 gamma=90.00
Space group I4/mmm (No. 139)
Asymmetric unit:
Na: 0.000 0.000 0.167
Bi: 0.000 0.000 0.384
H: 0.000 0.000 0.000
Rh: 0.000 0.500 0.000


(7)
Structure and simulated powder diffraction line list of Nd5Bi2H (the GGA-PBE geometry in Alexandria; Cu Ka).

Top 6 peaks for 10° ≤ 2θ ≤ 90°, most intense first:
2θ/deg	d [Å]	Rel. int.	h k l
31.5	2.837	100	2 0 2
35.1	2.557	38	2 2 0
60.7	1.525	31	4 2 2
53.8	1.705	23	2 2 4
39.4	2.287	17	0 0 4
50.5	1.808	14	4 0 0

Cell and atoms:
Unit cell a=7.234 b=7.234 c=9.147 alpha=90.00 beta=90.00 gamma=90.00
Space group I4mm (No. 107)
Asymmetric unit:
Nd: 0.000 0.000 0.000
Nd: 0.248 0.248 0.753
Bi: 0.000 0.500 0.003
H: 0.000 0.000 0.737


(8)
Structure and simulated powder diffraction line list of NdBiH (the GGA-PBE geometry in Alexandria; Cu Ka).

Top 6 peaks for 10° ≤ 2θ ≤ 90°, most intense first:
2θ/deg	d [Å]	Rel. int.	h k l
31.8	2.815	100	1 0 1
26.0	3.422	29	1 0 0
45.9	1.975	24	1 1 0
59.9	1.544	22	1 1 2
56.9	1.617	20	2 0 1
76.1	1.251	17	2 1 1

Cell and atoms:
Unit cell a=3.9510 b=3.9510 c=4.9519 alpha=90.00 beta=90.00 gamma=120.00
Space group P-6m2 (No. 187)
Asymmetric unit:
Nd: 0.0000 0.0000 0.0000
Bi: 0.6667 0.3333 0.5000
H: 0.3333 0.6667 0.0000


(9)
Structure and simulated powder diffraction line list of Nd4Bi2H9 (the GGA-PBE geometry in Alexandria; Cu Ka).

Top 6 peaks for 10° ≤ 2θ ≤ 90°, most intense first:
2θ/deg	d [Å]	Rel. int.	h k l
31.0	2.881	100	0 1 3
26.9	3.320	24	1 0 0
57.7	1.599	22	1 1 6
47.4	1.917	22	1 1 0
30.8	2.899	21	0 0 6
57.8	1.596	18	2 0 3

Cell and atoms:
Unit cell a=3.8331 b=3.8331 c=17.3954 alpha=90.00 beta=90.00 gamma=120.00
Space group P-3m1 (No. 164)
Asymmetric unit:
Nd: 0.3333 0.6667 0.0959
Nd: 0.3333 0.6667 0.4101
Bi: 0.3333 0.6667 0.7539
H: 0.0000 0.0000 0.0865
H: 0.0000 0.0000 0.3741
H: 0.0000 0.0000 0.5000
H: 0.3333 0.6667 0.5479
H: 0.3333 0.6667 0.9595


(10)
Structure and simulated powder diffraction line list of Nd4SnBiH (the GGA-PBE geometry in Alexandria; Cu Ka).

Top 6 peaks for 10° ≤ 2θ ≤ 90°, most intense first:
2θ/deg	d [Å]	Rel. int.	h k l
33.8	2.653	100	2 4 0
28.9	3.086	95	2 2 0
38.8	2.323	65	2 0 2
49.6	1.837	43	2 6 2
29.8	2.999	40	0 6 0
31.4	2.845	32	1 5 1

Cell and atoms:
Unit cell a=6.571 b=17.994 c=6.572 alpha=90.00 beta=90.00 gamma=90.00
Space group Cmcm (No. 63)
Asymmetric unit:
Nd: 0.000 0.069 0.250
Nd: 0.000 0.426 0.250
Nd: 0.250 0.250 0.000
Sn: 0.000 0.112 0.750
Bi: 0.000 0.389 0.750
H: 0.000 0.293 0.250


(11)
Structure and simulated powder diffraction line list of Ni4BiH7 (the GGA-PBE geometry in Alexandria; Cu Ka).

Top 6 peaks for 10° ≤ 2θ ≤ 90°, most intense first:
2θ/deg	d [Å]	Rel. int.	h k l
35.4	2.535	100	1 3 0
32.3	2.767	80	1 1 1
17.1	5.196	80	0 0 1
36.0	2.492	53	0 4 1
44.5	2.034	46	1 1 2
39.5	2.279	38	1 3 1

Cell and atoms:
Unit cell a=3.414 b=11.359 c=5.196 alpha=90.00 beta=90.00 gamma=90.00
Space group Pmmn (No. 59, origin choice 2)
Asymmetric unit:
Ni: 0.250 0.033 0.166
Ni: 0.250 0.124 0.685
Bi: 0.250 0.750 0.972
H: 0.250 0.134 0.377
H: 0.250 0.250 0.553
H: 0.250 0.510 0.834
H: 0.250 0.589 0.345


(12)
Structure and simulated powder diffraction line list of BiHO2 (the GGA-PBE geometry in Alexandria; Cu Ka).

Top 6 peaks for 10° ≤ 2θ ≤ 90°, most intense first:
2θ/deg	d [Å]	Rel. int.	h k l
23.3	3.825	100	0 1 -1
25.1	3.541	100	0 1 1
13.3	6.679	76	0 0 1
28.0	3.186	71	1 0 1
26.9	3.317	64	1 0 -1
31.4	2.850	55	1 -1 0

Cell and atoms:
Unit cell a=3.723 b=4.416 c=6.710 alpha=94.80 beta=92.70 gamma=90.16
Space group P1 (No. 1)
Asymmetric unit:
Bi: 0.000 0.000 0.000
Bi: 0.474 0.457 0.622
H: 0.554 0.906 0.285
H: 0.983 0.999 0.516
O: 0.475 0.048 0.775
O: 0.506 0.776 0.160
O: 0.945 0.174 0.438
O: 0.985 0.560 0.824